The following is a calculated powder X-ray diffraction pattern of Dy8Er4Mg. It was derived from the PBE geometry in Alexandria, using Cu Kα (weighted mean of Kα1 and Kα2).
No peak broadening, texture or thermal motion is included.

Cell and atoms:
a = 7.0702 Å, b = 7.0702 Å, c = 28.6551 Å
α = 90.00°, β = 90.00°, γ = 120.00°
Space group R-3m (No. 166, hexagonal axes)
Unique sites:
Dy (0.0000, 0.0000, 0.2128) x6
Dy (0.0167, 0.5084, 0.7624) x18
Er (0.0000, 0.0000, 0.0000) x3
Er (0.0000, 0.5000, 0.0000) x9
Mg (0.0000, 0.0000, 0.5000) x3

Top 10 peaks for 2θ from 15° to 90°, sorted by position:
| d/Å | Rel. int. | h k l |
| --- | --- | --- |
| 3.184 | 340 | 0 0 9 |
| 3.044 | 238 | 0 2 1 |
| 2.815 | 1000 | 0 2 4 |
| 2.700 | 469 | 2 0 5 |
| 2.327 | 345 | 2 0 8 |
| 1.789 | 183 | 0 2 13 |
| 1.768 | 303 | 2 2 0 |
| 1.545 | 266 | 2 2 9 |
| 1.497 | 144 | 4 0 4 |
| 1.142 | 117 | 2 4 4 |